For LiTaIr, DFT lattice parameters and positions (PBE) gives the calculated X-ray diffraction stick pattern in this record (Cu Kα X-rays).

Main lines, by angle (5 to 70 degrees two-theta):
| d_spacing | 2θ/deg | intensity |
| --- | --- | --- |
| 4.012 | 22.16 | 50.4 |
| 3.522 | 25.29 | 70.4 |
| 2.683 | 33.39 | 34.8 |
| 2.303 | 39.11 | 100.0 |
| 2.209 | 40.85 | 88.6 |
| 1.998 | 45.40 | 31.2 |
| 1.960 | 46.33 | 31.1 |
| 1.949 | 46.59 | 61.1 |
| 1.583 | 58.31 | 14.4 |
| 1.382 | 67.81 | 40.3 |

a b c (Å): 2.8471 3.9192 8.0242
angles (deg): 90.00 90.00 90.00
Space group Imm2 (No. 44)
One atom of each set of equivalent atoms:
Li1 0.0000 0.0000 0.0000
Ta1 0.0000 0.0000 0.6773
Ir1 0.0000 0.0000 0.3428

---

For BaOs5, DFT lattice parameters and positions (PBE) gives the calculated X-ray diffraction stick pattern in this record (Cu Kα X-rays).

Main lines, by angle (5 to 70 degrees two-theta):
| d_spacing | 2θ/deg | intensity |
| --- | --- | --- |
| 12.818 | 6.90 | 62.2 |
| 6.409 | 13.82 | 6.7 |
| 2.367 | 38.01 | 100.0 |
| 2.127 | 42.50 | 36.6 |
| 2.011 | 45.09 | 45.2 |
| 1.831 | 49.80 | 9.2 |
| 1.708 | 53.66 | 6.7 |
| 1.464 | 63.54 | 6.6 |
| 1.422 | 65.68 | 14.9 |
| 1.354 | 69.42 | 13.8 |

a b c (Å): 2.8434 2.8434 12.8177
angles (deg): 90.00 90.00 90.00
Space group P4/mmm (No. 123)
One atom of each set of equivalent atoms:
Ba1 0.0000 0.0000 0.0000
Os1 0.0000 0.0000 0.3508
Os2 0.5000 0.5000 0.2182
Os3 0.5000 0.5000 0.5000

---

For KTiBO4, DFT lattice parameters and positions (PBE) gives the calculated X-ray diffraction stick pattern in this record (Cu Kα X-rays).

Main lines, by angle (5 to 70 degrees two-theta):
| d_spacing | 2θ/deg | intensity |
| --- | --- | --- |
| 4.384 | 20.26 | 100.0 |
| 3.797 | 23.43 | 2.2 |
| 2.685 | 33.37 | 85.3 |
| 2.290 | 39.35 | 36.1 |
| 2.192 | 41.18 | 12.2 |
| 1.898 | 47.92 | 1.9 |
| 1.742 | 52.53 | 26.7 |
| 1.550 | 59.65 | 25.3 |
| 1.461 | 63.68 | 13.6 |

a b c (Å): 7.5936 7.5936 7.5936
angles (deg): 90.00 90.00 90.00
Space group F-43m (No. 216)
One atom of each set of equivalent atoms:
K1 0.0000 0.0000 0.0000
Ti1 0.2500 0.2500 0.7500
B1 0.0000 0.0000 0.5000
O1 0.1125 0.1125 0.6125

---

For Ce4CuPt3, DFT lattice parameters and positions (PBE) gives the calculated X-ray diffraction stick pattern in this record (Cu Kα X-rays).

Main lines, by angle (5 to 70 degrees two-theta):
| d_spacing | 2θ/deg | intensity |
| --- | --- | --- |
| 2.809 | 31.86 | 100.0 |
| 2.757 | 32.47 | 35.0 |
| 2.658 | 33.72 | 12.3 |
| 2.341 | 38.46 | 22.1 |
| 2.279 | 39.54 | 80.3 |
| 2.215 | 40.73 | 30.9 |
| 1.924 | 47.25 | 20.2 |
| 1.727 | 53.03 | 17.6 |
| 1.577 | 58.51 | 14.3 |
| 1.452 | 64.12 | 16.2 |

a b c (Å): 3.8472 4.4303 11.0282
angles (deg): 90.00 90.00 90.00
Space group Pmm2 (No. 25)
One atom of each set of equivalent atoms:
Ce1 0.0000 0.0000 0.0000
Ce2 0.0000 0.5000 0.2739
Ce3 0.5000 0.0000 0.4987
Ce4 0.5000 0.5000 0.7732
Cu1 0.0000 0.0000 0.7146
Pt1 0.0000 0.5000 0.5536
Pt2 0.5000 0.0000 0.2314
Pt3 0.5000 0.5000 0.0408

---

For MgTiInS4, DFT lattice parameters and positions (PBE) gives the calculated X-ray diffraction stick pattern in this record (Cu Kα X-rays).

Main lines, by angle (5 to 70 degrees two-theta):
| d_spacing | 2θ/deg | intensity |
| --- | --- | --- |
| 6.226 | 14.23 | 27.0 |
| 6.065 | 14.61 | 100.0 |
| 3.250 | 27.44 | 37.8 |
| 3.217 | 27.73 | 78.9 |
| 2.722 | 32.91 | 46.6 |
| 2.631 | 34.08 | 89.9 |
| 2.013 | 45.02 | 22.1 |
| 1.897 | 47.95 | 21.8 |
| 1.892 | 48.10 | 83.8 |
| 1.827 | 49.93 | 29.6 |

a b c (Å): 7.3025 7.5889 10.8871
angles (deg): 90.00 90.00 90.00
Space group Imma (No. 74)
One atom of each set of equivalent atoms:
Mg1 0.0000 0.2500 0.1263
Ti1 0.2500 0.2500 0.7500
In1 0.0000 0.0000 0.5000
S1 0.0000 0.0205 0.7455
S2 0.2471 0.2500 0.5226

---

For K4InCo, DFT lattice parameters and positions (PBE) gives the calculated X-ray diffraction stick pattern in this record (Cu Kα X-rays).

Main lines, by angle (5 to 70 degrees two-theta):
| d_spacing | 2θ/deg | intensity |
| --- | --- | --- |
| 5.845 | 15.16 | 10.9 |
| 3.579 | 24.88 | 53.6 |
| 3.052 | 29.26 | 100.0 |
| 2.923 | 30.59 | 19.7 |
| 2.067 | 43.81 | 22.9 |
| 1.948 | 46.62 | 34.2 |
| 1.790 | 51.03 | 24.8 |
| 1.601 | 57.58 | 9.8 |
| 1.544 | 59.91 | 11.4 |
| 1.353 | 69.48 | 10.8 |

a b c (Å): 10.1239 10.1239 10.1239
angles (deg): 90.00 90.00 90.00
Space group F-43m (No. 216)
One atom of each set of equivalent atoms:
K1 0.1248 0.1248 0.1248
In1 0.0000 0.0000 0.5000
Co1 0.2500 0.2500 0.7500

---

For Li3B4C4, DFT lattice parameters and positions (PBE) gives the calculated X-ray diffraction stick pattern in this record (Cu Kα X-rays).

Main lines, by angle (5 to 70 degrees two-theta):
| d_spacing | 2θ/deg | intensity |
| --- | --- | --- |
| 9.331 | 9.48 | 2.2 |
| 6.998 | 12.65 | 1.9 |
| 3.499 | 25.46 | 100.0 |
| 2.365 | 38.05 | 9.3 |
| 2.241 | 40.25 | 3.8 |
| 2.036 | 44.50 | 1.4 |
| 1.960 | 46.33 | 56.5 |
| 1.750 | 52.29 | 16.1 |
| 1.407 | 66.47 | 1.4 |
| 1.366 | 68.74 | 19.8 |

a b c (Å): 2.7311 2.7311 27.9931
angles (deg): 90.00 90.00 120.00
Space group P-3m1 (No. 164)
One atom of each set of equivalent atoms:
Li1 0.0000 0.0000 0.0000
Li2 0.0000 0.0000 0.1264
Li3 0.0000 0.0000 0.2547
Li4 0.0000 0.0000 0.5000
B1 0.3333 0.6667 0.0630
B2 0.3333 0.6667 0.3184
B3 0.3333 0.6667 0.5636
B4 0.3333 0.6667 0.8105
C1 0.3333 0.6667 0.1892
C2 0.3333 0.6667 0.4385
C3 0.3333 0.6667 0.6841
C4 0.3333 0.6667 0.9370

---

For Li3In4Rh2, DFT lattice parameters and positions (PBE) gives the calculated X-ray diffraction stick pattern in this record (Cu Kα X-rays).

Main lines, by angle (5 to 70 degrees two-theta):
| d_spacing | 2θ/deg | intensity |
| --- | --- | --- |
| 8.615 | 10.27 | 21.1 |
| 4.308 | 20.62 | 27.2 |
| 3.599 | 24.74 | 64.3 |
| 2.916 | 30.66 | 11.7 |
| 2.325 | 38.73 | 100.0 |
| 2.287 | 39.40 | 96.3 |
| 2.020 | 44.87 | 20.8 |
| 1.930 | 47.08 | 11.1 |
| 1.630 | 56.43 | 32.4 |
| 1.350 | 69.65 | 16.0 |

a b c (Å): 4.5742 4.5742 8.6152
angles (deg): 90.00 90.00 120.00
Space group P-3m1 (No. 164)
One atom of each set of equivalent atoms:
Li1 0.0000 0.0000 0.0000
Li2 0.3333 0.6667 0.5407
In1 0.0000 0.0000 0.3274
In2 0.3333 0.6667 0.8847
Rh1 0.3333 0.6667 0.2109